1.
# Ba6Li15Tl8
Computed powder XRD pattern, λ = 1.5418 Å (Cu Kα). Input: a crystal structure in Alexandria, relaxed with PBE.
Kinematic intensities with the Lorentz-polarization factor, no thermal factor.

Structural model:
```
Ba6Li15Tl8
1.0
0.000 7.478 7.478
7.478 0.000 7.478
7.478 7.478 0.000
Ba Li Tl
6 15 8
Direct
0.222 0.222 0.778
0.222 0.778 0.222
0.222 0.778 0.778
0.778 0.222 0.222
0.778 0.222 0.778
0.778 0.778 0.222
0.000 0.000 0.500
0.000 0.500 0.000
0.000 0.500 0.500
0.179 0.179 0.179
0.179 0.179 0.462
0.179 0.462 0.179
0.462 0.179 0.179
0.500 0.000 0.000
0.500 0.000 0.500
0.500 0.500 0.000
0.500 0.500 0.500
0.538 0.821 0.821
0.821 0.538 0.821
0.821 0.821 0.538
0.821 0.821 0.821
0.110 0.630 0.630
0.370 0.370 0.370
0.370 0.370 0.890
0.370 0.890 0.370
0.630 0.110 0.630
0.630 0.630 0.110
0.630 0.630 0.630
0.890 0.370 0.370
```

Largest 10 diffraction maxima, in order of falling intensity, 2θ = 10–90°:
2θ (°)	I (rel.)
33.91	100.0
25.97	55.9
19.69	40.1
60.67	29.6
10.24	28.6
31.07	27.8
20.57	23.3
49.91	22.6
23.80	15.8
48.71	15.8

---

2.
# Sr2CdIn4Au3
Computed powder XRD pattern, λ = 1.5418 Å (Cu Kα). Input: a crystal structure in Alexandria, relaxed with PBE.
Kinematic intensities with the Lorentz-polarization factor, no thermal factor.

Structural model:
```
Sr2CdIn4Au3
1.0
4.609 0.000 0.000
0.000 4.609 0.000
0.000 0.000 12.218
Sr Cd In Au
2 1 4 3
Direct
0.000 0.500 0.246
0.500 0.000 0.754
0.000 0.000 0.500
0.000 0.000 0.000
0.000 0.500 0.639
0.500 0.000 0.361
0.500 0.500 0.000
0.000 0.500 0.862
0.500 0.000 0.138
0.500 0.500 0.500
```

Largest 10 diffraction maxima, in order of falling intensity, 2θ = 10–90°:
2θ (°)	I (rel.)
31.10	100.0
39.09	71.8
40.47	66.4
29.26	43.5
41.85	42.7
20.60	38.8
58.59	29.8
56.47	24.2
71.76	24.2
65.89	22.6